(1)
# SmGdScOs
Theoretical XRD peak list, Cu Kα. Input: the PBE geometry in Alexandria.
Neutral-atom scattering factors, no anomalous dispersion.

Largest 10 diffraction maxima, in order of rising 2θ, 2θ from 5° to 70°:
2θ (°)	d [Å]	I (rel.)
21.42	4.148	159
24.78	3.592	23
35.34	2.540	1000
41.70	2.166	90
43.64	2.074	7
50.84	1.796	178
55.77	1.648	40
57.35	1.607	10
63.43	1.467	364
67.77	1.383	31

Structure:
Unit cell a=5.080 b=5.080 c=5.080 alpha=60.00 beta=60.00 gamma=60.00
Atoms (fractional coordinates):
Sm (0.000, 0.000, 0.000)
Gd (0.500, 0.500, 0.500)
Sc (0.250, 0.250, 0.250)
Os (0.750, 0.750, 0.750)



(2)
# Rb4U3PbSe8
Theoretical XRD peak list, Cu Kα. Input: the PBE geometry in Alexandria.
Neutral-atom scattering factors, no anomalous dispersion.

Largest 12 diffraction maxima, in order of rising 2θ, 2θ from 5° to 70°:
2θ (°)	d [Å]	I (rel.)
11.12	7.954	450
24.74	3.599	151
27.97	3.190	1000
35.49	2.530	159
38.47	2.340	352
41.44	2.179	367
43.04	2.102	108
48.40	1.881	105
50.74	1.799	190
57.82	1.595	107
63.32	1.469	120
67.51	1.387	194

Structure:
Unit cell a=9.412 b=9.412 c=9.412 alpha=55.17 beta=55.17 gamma=55.17
Atoms (fractional coordinates):
Rb (0.000, 0.000, 0.000)
Rb (0.000, 0.500, 0.500)
Rb (0.500, 0.000, 0.500)
Rb (0.500, 0.500, 0.000)
U (0.000, 0.000, 0.500)
U (0.000, 0.500, 0.000)
U (0.500, 0.000, 0.000)
Pb (0.500, 0.500, 0.500)
Se (0.215, 0.741, 0.741)
Se (0.232, 0.232, 0.232)
Se (0.259, 0.259, 0.785)
Se (0.259, 0.785, 0.259)
Se (0.741, 0.215, 0.741)
Se (0.741, 0.741, 0.215)
Se (0.768, 0.768, 0.768)
Se (0.785, 0.259, 0.259)



(3)
# Cs3OsF7
Theoretical XRD peak list, Cu Kα. Input: the PBE geometry in Alexandria.
Neutral-atom scattering factors, no anomalous dispersion.

Largest 12 diffraction maxima, in order of rising 2θ, 2θ from 5° to 70°:
2θ (°)	d [Å]	I (rel.)
14.41	6.147	125
22.88	3.888	105
24.77	3.595	1000
26.84	3.322	137
27.91	3.197	258
29.05	3.073	363
36.38	2.469	181
40.72	2.216	282
47.51	1.914	168
48.98	1.860	155
50.80	1.797	106
55.31	1.661	104

Structure:
Unit cell a=8.693 b=8.693 c=6.395 alpha=90.00 beta=90.00 gamma=90.00
Atoms (fractional coordinates):
Cs (0.000, 0.000, 0.000)
Cs (0.193, 0.307, 0.500)
Cs (0.307, 0.807, 0.500)
Cs (0.500, 0.500, 0.000)
Cs (0.693, 0.193, 0.500)
Cs (0.807, 0.693, 0.500)
Os (0.000, 0.500, 0.000)
Os (0.500, 0.000, 0.000)
F (0.000, 0.000, 0.500)
F (0.110, 0.610, 0.223)
F (0.110, 0.610, 0.777)
F (0.162, 0.338, 0.000)
F (0.338, 0.838, 0.000)
F (0.390, 0.110, 0.223)
F (0.390, 0.110, 0.777)
F (0.500, 0.500, 0.500)
F (0.610, 0.890, 0.223)
F (0.610, 0.890, 0.777)
F (0.662, 0.162, 0.000)
F (0.838, 0.662, 0.000)
F (0.890, 0.390, 0.223)
F (0.890, 0.390, 0.777)



(4)
# Tb2Er3Tm8
Theoretical XRD peak list, Cu Kα. Input: the PBE geometry in Alexandria.
Neutral-atom scattering factors, no anomalous dispersion.

Largest 12 diffraction maxima, in order of rising 2θ, 2θ from 5° to 70°:
2θ (°)	d [Å]	I (rel.)
25.43	3.503	181
29.93	2.986	259
31.13	2.873	302
32.62	2.745	382
34.02	2.635	1000
35.49	2.529	132
41.81	2.160	97
48.78	1.867	86
48.97	1.860	107
59.12	1.563	206
59.92	1.544	93
65.47	1.426	86

Structure:
Unit cell a=10.784 b=10.784 c=5.489 alpha=90.00 beta=90.00 gamma=139.49
Atoms (fractional coordinates):
Tb (0.241, 0.759, 0.000)
Tb (0.759, 0.241, 0.000)
Er (0.000, 0.000, 0.000)
Er (0.283, 0.283, 0.500)
Er (0.717, 0.717, 0.500)
Tm (0.132, 0.868, 0.500)
Tm (0.177, 0.395, 0.000)
Tm (0.336, 0.664, 0.500)
Tm (0.395, 0.177, 0.000)
Tm (0.605, 0.823, 0.000)
Tm (0.664, 0.336, 0.500)
Tm (0.823, 0.605, 0.000)
Tm (0.868, 0.132, 0.500)



(5)
# AlZn6Au12
Theoretical XRD peak list, Cu Kα. Input: the PBE geometry in Alexandria.
Neutral-atom scattering factors, no anomalous dispersion.

Largest 12 diffraction maxima, in order of rising 2θ, 2θ from 5° to 70°:
2θ (°)	d [Å]	I (rel.)
15.94	5.558	175
20.08	4.421	51
30.43	2.937	1000
38.25	2.353	299
40.82	2.211	193
41.68	2.167	111
43.05	2.101	551
44.09	2.054	473
44.90	2.019	170
53.63	1.709	197
58.02	1.590	66
63.32	1.469	82

Structure:
Unit cell a=7.225 b=7.225 c=7.225 alpha=100.58 beta=100.58 gamma=100.58
Atoms (fractional coordinates):
Al (0.000, 0.000, 0.000)
Zn (0.188, 0.461, 0.272)
Zn (0.272, 0.188, 0.461)
Zn (0.461, 0.272, 0.188)
Zn (0.539, 0.728, 0.812)
Zn (0.728, 0.812, 0.539)
Zn (0.812, 0.539, 0.728)
Au (0.006, 0.125, 0.683)
Au (0.125, 0.683, 0.006)
Au (0.174, 0.506, 0.640)
Au (0.317, 0.994, 0.875)
Au (0.360, 0.826, 0.494)
Au (0.494, 0.360, 0.826)
Au (0.506, 0.640, 0.174)
Au (0.640, 0.174, 0.506)
Au (0.683, 0.006, 0.125)
Au (0.826, 0.494, 0.360)
Au (0.875, 0.317, 0.994)
Au (0.994, 0.875, 0.317)



(6)
# Sr2CaAlO4F
Theoretical XRD peak list, Cu Kα. Input: the PBE geometry in Alexandria.
Neutral-atom scattering factors, no anomalous dispersion.

Largest 12 diffraction maxima, in order of rising 2θ, 2θ from 5° to 70°:
2θ (°)	d [Å]	I (rel.)
24.92	3.573	302
30.56	2.926	225
31.18	2.868	1000
32.32	2.770	344
37.43	2.402	228
38.43	2.342	686
38.95	2.312	332
42.27	2.138	342
43.01	2.103	233
51.09	1.788	284
56.92	1.618	226
57.43	1.605	138

Structure:
Unit cell a=7.336 b=7.249 c=6.709 alpha=63.27 beta=61.96 gamma=54.77
Atoms (fractional coordinates):
Sr (0.168, 0.832, 0.168)
Sr (0.250, 0.250, 0.250)
Sr (0.750, 0.750, 0.750)
Sr (0.832, 0.168, 0.832)
Ca (0.331, 0.669, 0.669)
Ca (0.669, 0.331, 0.331)
Al (0.250, 0.250, 0.750)
Al (0.750, 0.750, 0.250)
O (0.002, 0.708, 0.998)
O (0.214, 0.494, 0.506)
O (0.292, 0.998, 0.708)
O (0.494, 0.214, 0.786)
O (0.506, 0.786, 0.214)
O (0.708, 0.002, 0.292)
O (0.786, 0.506, 0.494)
O (0.998, 0.292, 0.002)
F (0.000, 0.000, 0.500)
F (0.500, 0.500, 0.000)



(7)
# Sm3Dy3Ge4
Theoretical XRD peak list, Cu Kα. Input: the PBE geometry in Alexandria.
Neutral-atom scattering factors, no anomalous dispersion.

Largest 12 diffraction maxima, in order of rising 2θ, 2θ from 5° to 70°:
2θ (°)	d [Å]	I (rel.)
26.03	3.423	118
26.41	3.375	187
31.23	2.864	636
33.10	2.706	162
33.41	2.682	1000
37.15	2.420	489
41.84	2.159	238
49.08	1.856	106
53.75	1.705	152
55.18	1.665	170
57.18	1.611	280
65.88	1.418	146

Structure:
Unit cell a=4.318 b=7.654 c=7.654 alpha=90.02 beta=90.00 gamma=90.00
Atoms (fractional coordinates):
Sm (0.000, 0.000, 0.000)
Sm (0.000, 0.154, 0.502)
Sm (0.000, 0.502, 0.154)
Dy (0.000, 0.654, 0.654)
Dy (0.500, 0.327, 0.827)
Dy (0.500, 0.827, 0.327)
Ge (0.500, 0.204, 0.204)
Ge (0.500, 0.454, 0.454)
Ge (0.500, 0.703, 0.947)
Ge (0.500, 0.947, 0.703)



(8)
# CrCo3Ni4
Theoretical XRD peak list, Cu Kα. Input: the PBE geometry in Alexandria.
Neutral-atom scattering factors, no anomalous dispersion.

Largest 3 diffraction maxima, in order of rising 2θ, 2θ from 5° to 70°:
2θ (°)	d [Å]	I (rel.)
44.59	2.032	1000
50.53	1.806	168
52.67	1.738	295

Structure:
Unit cell a=7.632 b=7.632 c=7.632 alpha=153.68 beta=153.68 gamma=37.57
Atoms (fractional coordinates):
Cr (0.000, 0.000, 0.000)
Co (0.252, 0.252, 0.000)
Co (0.500, 0.500, 0.000)
Co (0.748, 0.748, 0.000)
Ni (0.125, 0.625, 0.500)
Ni (0.375, 0.875, 0.500)
Ni (0.625, 0.125, 0.500)
Ni (0.875, 0.375, 0.500)



(9)
# CoNi6H4
Theoretical XRD peak list, Cu Kα. Input: the PBE geometry in Alexandria.
Neutral-atom scattering factors, no anomalous dispersion.

Largest 12 diffraction maxima, in order of rising 2θ, 2θ from 5° to 70°:
2θ (°)	d [Å]	I (rel.)
21.61	4.111	133
24.96	3.567	49
25.10	3.547	27
35.63	2.520	45
35.72	2.513	23
41.97	2.153	22
42.07	2.148	22
42.20	2.141	22
44.05	2.056	1000
51.13	1.787	163
51.30	1.781	161
51.53	1.774	159

Structure:
Unit cell a=5.027 b=5.027 c=5.043 alpha=120.00 beta=120.00 gamma=89.76
Atoms (fractional coordinates):
Co (0.000, 0.000, 0.000)
Ni (0.000, 0.000, 0.492)
Ni (0.002, 0.497, 0.498)
Ni (0.497, 0.002, 0.498)
Ni (0.500, 0.500, 0.505)
Ni (0.504, 0.998, 0.000)
Ni (0.998, 0.504, 0.000)
H (0.250, 0.250, 0.999)
H (0.257, 0.743, 0.997)
H (0.743, 0.257, 0.997)
H (0.750, 0.750, 0.498)



(10)
# Ca3Cr
Theoretical XRD peak list, Cu Kα. Input: the PBE geometry in Alexandria.
Neutral-atom scattering factors, no anomalous dispersion.

Largest 10 diffraction maxima, in order of rising 2θ, 2θ from 5° to 70°:
2θ (°)	d [Å]	I (rel.)
17.33	5.118	11
24.60	3.619	10
30.24	2.955	1000
34.96	2.567	165
35.12	2.555	327
50.39	1.811	211
50.51	1.807	105
59.80	1.547	119
60.01	1.542	236
62.90	1.478	101

Structure:
Unit cell a=5.111 b=5.111 c=5.134 alpha=90.00 beta=90.00 gamma=90.00
Atoms (fractional coordinates):
Ca (0.000, 0.000, 0.000)
Ca (0.000, 0.500, 0.500)
Ca (0.500, 0.000, 0.500)
Cr (0.500, 0.500, 0.000)



(11)
# UFeS3
Theoretical XRD peak list, Cu Kα. Input: the PBE geometry in Alexandria.
Neutral-atom scattering factors, no anomalous dispersion.

Largest 12 diffraction maxima, in order of rising 2θ, 2θ from 5° to 70°:
2θ (°)	d [Å]	I (rel.)
16.62	5.333	442
20.90	4.251	247
26.82	3.324	941
27.73	3.217	1000
36.72	2.447	833
41.10	2.196	557
41.22	2.190	294
42.54	2.125	256
47.93	1.898	283
49.60	1.838	194
57.28	1.608	237
65.99	1.416	212

Structure:
Unit cell a=5.641 b=5.641 c=8.501 alpha=90.00 beta=90.00 gamma=141.97
Atoms (fractional coordinates):
U (0.231, 0.769, 0.750)
U (0.769, 0.231, 0.250)
Fe (0.000, 0.000, 0.000)
Fe (0.000, 0.000, 0.500)
S (0.079, 0.921, 0.250)
S (0.369, 0.631, 0.042)
S (0.369, 0.631, 0.458)
S (0.631, 0.369, 0.542)
S (0.631, 0.369, 0.958)
S (0.921, 0.079, 0.750)



(12)
# MnCoTcHOs
Theoretical XRD peak list, Cu Kα. Input: the PBE geometry in Alexandria.
Neutral-atom scattering factors, no anomalous dispersion.

Largest 12 diffraction maxima, in order of rising 2θ, 2θ from 5° to 70°:
2θ (°)	d [Å]	I (rel.)
16.84	5.265	451
23.44	3.795	111
29.00	3.079	284
37.59	2.393	146
41.18	2.192	1000
41.76	2.163	956
44.78	2.024	168
47.94	1.898	323
48.42	1.880	624
51.17	1.785	57
62.47	1.487	71
68.48	1.370	61

Structure:
Unit cell a=2.686 b=3.795 c=5.265 alpha=90.00 beta=90.00 gamma=90.00
Atoms (fractional coordinates):
Mn (0.000, 0.000, 0.000)
Co (0.500, 0.500, 0.757)
Tc (0.000, 0.000, 0.515)
H (0.000, 0.500, 0.967)
Os (0.500, 0.500, 0.267)



(13)
# YUCr4Si4
Theoretical XRD peak list, Cu Kα. Input: the PBE geometry in Alexandria.
Neutral-atom scattering factors, no anomalous dispersion.

Largest 12 diffraction maxima, in order of rising 2θ, 2θ from 5° to 70°:
2θ (°)	d [Å]	I (rel.)
8.44	10.472	486
24.45	3.641	504
28.62	3.119	113
34.25	2.618	183
34.55	2.596	594
36.96	2.432	1000
46.78	1.942	351
49.44	1.843	255
53.48	1.713	130
59.25	1.560	144
59.44	1.555	249
63.12	1.473	161

Structure:
Unit cell a=3.883 b=3.883 c=10.472 alpha=90.00 beta=90.00 gamma=90.00
Atoms (fractional coordinates):
Y (0.000, 0.000, 0.000)
U (0.500, 0.500, 0.500)
Cr (0.000, 0.500, 0.255)
Cr (0.000, 0.500, 0.745)
Cr (0.500, 0.000, 0.255)
Cr (0.500, 0.000, 0.745)
Si (0.000, 0.000, 0.387)
Si (0.000, 0.000, 0.613)
Si (0.500, 0.500, 0.118)
Si (0.500, 0.500, 0.882)